Record 1
Diffraction record for Ho2C2Se. The powder X-ray diffraction pattern is simulated, not measured: it uses a crystal structure in Alexandria, relaxed with GGA-PBE and Cu Kα (weighted mean of Kα1 and Kα2).

Peak list (6 most intense, 2θ = 5–70°, low angle first)
27.1 deg, rel. 44, hkl 2 0 -2
27.6 deg, rel. 37, hkl 1 1 1
31.2 deg, rel. 100, hkl 3 1 -1
32.7 deg, rel. 50, hkl 2 0 2
35.0 deg, rel. 20, hkl 3 1 1
45.8 deg, rel. 60, hkl 1 1 -3

a = 13.513 Å, b = 4.003 Å, c = 6.847 Å
α = 90.00°, β = 102.92°, γ = 90.00°
Space group C2/c (No. 15)
Unique sites:
1 Ho 0.145 0.180 0.139 (multiplicity 8)
2 C 0.227 0.374 0.536 (multiplicity 8)
3 Se 0.000 0.291 0.750 (multiplicity 4)

Record 2
Diffraction record for Ho5Si2C. The powder X-ray diffraction pattern is simulated, not measured: it uses a crystal structure in Alexandria, relaxed with GGA-PBE and Cu Kα (weighted mean of Kα1 and Kα2).

Peak list (6 most intense, 2θ = 5–70°, low angle first)
27.3 deg, rel. 100, hkl 1 1 3
27.7 deg, rel. 80, hkl 1 3 0
28.6 deg, rel. 47, hkl 1 3 1
32.6 deg, rel. 68, hkl 2 0 0
36.7 deg, rel. 60, hkl 0 4 3
49.9 deg, rel. 50, hkl 2 4 3

a = 5.499 Å, b = 11.914 Å, c = 12.926 Å
α = 90.00°, β = 90.00°, γ = 90.00°
Space group Cmcm (No. 63)
Unique sites:
1 Ho 0.000 0.055 0.123 (multiplicity 8)
2 Ho 0.000 0.299 0.750 (multiplicity 4)
3 Ho 0.000 0.338 0.106 (multiplicity 8)
4 Si 0.000 0.175 0.566 (multiplicity 8)
5 C 0.000 0.201 0.250 (multiplicity 4)

Record 3
Diffraction record for Ho4Si2C. The powder X-ray diffraction pattern is simulated, not measured: it uses a crystal structure in Alexandria, relaxed with GGA-PBE and Cu Kα (weighted mean of Kα1 and Kα2).

Peak list (6 most intense, 2θ = 5–70°, low angle first)
28.8 deg, rel. 46, hkl 2 0 1
32.1 deg, rel. 84, hkl 1 1 -2
32.2 deg, rel. 31, hkl 4 0 -2
33.1 deg, rel. 100, hkl 3 1 -1
36.9 deg, rel. 39, hkl 4 0 -3
62.4 deg, rel. 29, hkl 7 1 -3

a = 11.258 Å, b = 3.935 Å, c = 8.146 Å
α = 90.00°, β = 124.26°, γ = 90.00°
Space group C2/m (No. 12)
Unique sites:
1 Ho 0.081 0.000 0.347 (multiplicity 4)
2 Ho 0.164 0.500 0.076 (multiplicity 4)
3 Si 0.119 0.500 0.650 (multiplicity 4)
4 C 0.000 0.000 0.000 (multiplicity 2)